Entry 1:
Simulated powder XRD pattern
Compound: ScCuSnOs2
Radiation: CuKα
Structure: a GGA-PBE-relaxed structure

Structural model:
```
data_ScCuSnOs2
_symmetry_space_group_name_H-M 'P 4/m m m'
_symmetry_Int_Tables_number 123
_symmetry_space_group_name_Hall '-P 4 2'
_cell_length_a 4.739
_cell_length_b 4.739
_cell_length_c 4.547
_cell_angle_alpha 90.00
_cell_angle_beta 90.00
_cell_angle_gamma 90.00
loop_
_atom_site_label
_atom_site_type_symbol
_atom_site_fract_x
_atom_site_fract_y
_atom_site_fract_z
Sc1 Sc 0.000 0.000 0.000
Cu1 Cu 0.000 0.000 0.500
Sn1 Sn 0.500 0.500 0.500
Os1 Os 0.000 0.500 0.000
```

The 10 most intense peaks (2θ from 10° to 90°), in order of rising 2θ:
- 2θ = 19.52°, d 4.547, I = 18
- 2θ = 33.21°, d 2.697, I = 100
- 2θ = 37.97°, d 2.370, I = 48
- 2θ = 39.65°, d 2.273, I = 21
- 2θ = 43.05°, d 2.101, I = 9
- 2θ = 54.79°, d 1.675, I = 17
- 2θ = 56.06°, d 1.640, I = 31
- 2θ = 65.59°, d 1.423, I = 29
- 2θ = 67.87°, d 1.381, I = 13
- 2θ = 69.72°, d 1.349, I = 16

***

Entry 2:
Simulated powder XRD pattern
Compound: CuSiOs2
Radiation: CuKα
Structure: a GGA-PBE-relaxed structure

Structural model:
```
data_CuSiOs2
_symmetry_space_group_name_H-M 'P 1 2/m 1'
_symmetry_Int_Tables_number 10
_cell_length_a 2.805
_cell_length_b 3.792
_cell_length_c 5.218
_cell_angle_alpha 90.00
_cell_angle_beta 101.24
_cell_angle_gamma 90.00
loop_
_symmetry_equiv_pos_as_xyz
'x,y,z'
'-x,-y,-z'
'-x,y,-z'
'x,-y,z'
loop_
_atom_site_label
_atom_site_type_symbol
_atom_site_fract_x
_atom_site_fract_y
_atom_site_fract_z
Cu1 Cu 0.000 0.000 0.000
Si1 Si 0.000 0.000 0.500
Os1 Os 0.360 0.500 0.738
```

The 10 most intense peaks (2θ from 10° to 90°), in order of rising 2θ:
- 2θ = 23.46°, d 3.792, I = 81
- 2θ = 33.85°, d 2.648, I = 22
- 2θ = 35.07°, d 2.559, I = 29
- 2θ = 40.12°, d 2.248, I = 33
- 2θ = 40.51°, d 2.227, I = 60
- 2θ = 41.59°, d 2.171, I = 47
- 2θ = 42.63°, d 2.121, I = 100
- 2θ = 43.34°, d 2.088, I = 31
- 2θ = 47.00°, d 1.933, I = 24
- 2θ = 47.98°, d 1.896, I = 36